Structure and computed powder XRD pattern of Th2Cd12Ag5 (a structure optimized by DFT (PBE); Cu Ka).
No peak broadening, texture or thermal motion is included.

The 10 most intense peaks (2θ from 10° to 90°), by angle:
two_theta, I_rel
25.6, 19
31.2, 39
32.1, 32
36.2, 63
36.3, 100
36.8, 36
37.1, 25
40.8, 39
65.1, 22
66.0, 23

Atomic structure:
```
Th2Cd12Ag5
1.0
4.967 2.867 4.885
-4.967 2.867 4.885
0.000 -5.735 4.885
Th Cd Ag
2 12 5
Direct
0.163 0.163 0.163
0.837 0.837 0.837
0.147 0.147 0.652
0.147 0.652 0.147
0.204 0.500 0.796
0.204 0.796 0.500
0.348 0.853 0.853
0.500 0.204 0.796
0.500 0.796 0.204
0.652 0.147 0.147
0.796 0.204 0.500
0.796 0.500 0.204
0.853 0.348 0.853
0.853 0.853 0.348
0.000 0.500 0.500
0.392 0.392 0.392
0.500 0.000 0.500
0.500 0.500 0.000
0.608 0.608 0.608
```